(1)
# Ce4PuAs
Calculated powder diffractogram, Cu Kα X-rays. Input: DFT lattice parameters and positions (GGA-PBE).
Neutral-atom scattering factors, no anomalous dispersion.

Structural model:
```
data_Ce4PuAs
_chemical_formula_sum 'Ce16 Pu4 As4'
_symmetry_space_group_name_H-M 'P 1 21/c 1'
_symmetry_Int_Tables_number 14
_symmetry_space_group_name_Hall '-P 2ybc'
_cell_length_a 7.9434
_cell_length_b 8.9156
_cell_length_c 9.3576
_cell_angle_alpha 90.00
_cell_angle_beta 111.14
_cell_angle_gamma 90.00
loop_
_atom_site_label
_atom_site_type_symbol
_atom_site_fract_x
_atom_site_fract_y
_atom_site_fract_z
Ce1 Ce 0.0346 0.1484 0.1205
Ce2 Ce 0.2180 0.0345 0.4788
Ce3 Ce 0.2414 0.7187 0.7077
Ce4 Ce 0.3440 0.1183 0.8892
Pu1 Pu 0.0143 0.0990 0.7425
As1 As 0.4407 0.0864 0.2530
```

Most intense lines, 10 to 80 degrees two-theta, sorted by position:
Position (°2θ), I_rel, index
11.9, 100, 1 0 0
20.4, 33, 0 0 2
22.4, 28, 0 2 1
27.2, 29, 2 1 -2
29.0, 38, 1 1 2
32.4, 90, 2 2 -2
33.1, 34, 2 1 -3
35.1, 73, 1 2 -3
39.7, 28, 3 2 -1
42.4, 37, 1 2 3

(2)
# Li3Ca2N2
Calculated powder diffractogram, Cu Kα X-rays. Input: DFT lattice parameters and positions (GGA-PBE).
Neutral-atom scattering factors, no anomalous dispersion.

Structural model:
```
data_Li3Ca2N2
_chemical_formula_sum 'Li6 Ca4 N4'
_symmetry_space_group_name_H-M 'C 1 2/m 1'
_symmetry_Int_Tables_number 12
_symmetry_space_group_name_Hall '-C 2y'
_cell_length_a 9.9557
_cell_length_b 3.5110
_cell_length_c 6.0829
_cell_angle_alpha 90.00
_cell_angle_beta 112.45
_cell_angle_gamma 90.00
loop_
_atom_site_label
_atom_site_type_symbol
_atom_site_fract_x
_atom_site_fract_y
_atom_site_fract_z
Li1 Li 0.0000 0.0000 0.0000
Li2 Li 0.1652 0.0000 0.4119
Ca1 Ca 0.1455 0.5000 0.7922
N1 N 0.1849 0.5000 0.2150
```

Most intense lines, 10 to 80 degrees two-theta, sorted by position:
Position (°2θ), I_rel, index
15.8, 36, 0 0 1
19.3, 63, 2 0 0
19.7, 95, 2 0 -1
27.2, 82, 1 1 0
31.8, 75, 0 0 2
33.4, 59, 1 1 1
37.6, 76, 3 1 -1
39.0, 100, 3 1 0
39.3, 61, 1 1 -2
42.9, 36, 3 1 -2

(3)
# Pm3GePd4
Calculated powder diffractogram, Cu Kα X-rays. Input: DFT lattice parameters and positions (GGA-PBE).
Neutral-atom scattering factors, no anomalous dispersion.

Structural model:
```
data_Pm3GePd4
_chemical_formula_sum 'Pm6 Ge2 Pd8'
_symmetry_space_group_name_H-M 'I m m m'
_symmetry_Int_Tables_number 71
_symmetry_space_group_name_Hall '-I 2 2'
_cell_length_a 4.1421
_cell_length_b 6.7076
_cell_length_c 13.6770
_cell_angle_alpha 90.00
_cell_angle_beta 90.00
_cell_angle_gamma 90.00
loop_
_atom_site_label
_atom_site_type_symbol
_atom_site_fract_x
_atom_site_fract_y
_atom_site_fract_z
Pm1 Pm 0.0000 0.0000 0.0000
Pm2 Pm 0.0000 0.5000 0.1843
Ge1 Ge 0.0000 0.0000 0.5000
Pd1 Pd 0.0000 0.2944 0.3824
```

Most intense lines, 10 to 80 degrees two-theta, sorted by position:
Position (°2θ), I_rel, index
23.6, 36, 0 1 3
28.5, 100, 1 1 2
35.0, 73, 1 2 1
36.6, 40, 1 1 4
37.6, 44, 0 2 4
39.5, 67, 1 0 5
39.8, 44, 1 2 3
43.7, 42, 2 0 0
48.1, 29, 1 3 2
73.4, 26, 1 3 8